The following is a simulated powder diffractogram of KLaHgTe3. It was derived from a PBE-relaxed structure, using a wavelength of 1.5418 Å.
No peak broadening, texture or thermal motion is included.

Main lines, in order of falling intensity (10° ≤ 2θ ≤ 90°):
Position (°2θ), I (rel.)
26.73, 100
26.13, 55
37.68, 53
38.69, 31
32.18, 29
19.56, 28

Structural model:
a b c (Å): 10.7613 10.7613 9.5611
angles (deg): 102.78 102.78 24.98
Positions (direct):
K 0.1326 0.1326 0.0745
K 0.8674 0.8674 0.9255
La 0.1715 0.1715 0.5837
La 0.8285 0.8285 0.4163
Hg 0.4641 0.4641 0.2768
Hg 0.5359 0.5359 0.7232
Te 0.0000 0.0000 0.5000
Te 0.3239 0.3239 0.1787
Te 0.3267 0.3267 0.6419
Te 0.5000 0.5000 0.0000
Te 0.6733 0.6733 0.3581
Te 0.6761 0.6761 0.8213



The following is a simulated powder diffractogram of YHo2Cu4Sn4. It was derived from a PBE-relaxed structure, using a wavelength of 1.5418 Å.
No peak broadening, texture or thermal motion is included.

Main lines, in order of falling intensity (10° ≤ 2θ ≤ 90°):
Position (°2θ), I (rel.)
34.23, 100
33.32, 99
40.53, 47
33.17, 27
36.76, 24
45.36, 24

Structural model:
a b c (Å): 8.4085 8.4085 8.4085
angles (deg): 149.30 131.30 58.68
Positions (direct):
Y 0.0000 0.0000 0.0000
Ho 0.3692 0.8692 0.5000
Ho 0.6308 0.1308 0.5000
Cu 0.0172 0.3288 0.6884
Cu 0.3596 0.6712 0.6884
Cu 0.6404 0.3288 0.3116
Cu 0.9828 0.6712 0.3116
Sn 0.2163 0.2163 0.0000
Sn 0.2970 0.5000 0.7970
Sn 0.7030 0.5000 0.2030
Sn 0.7837 0.7837 0.0000



The following is a simulated powder diffractogram of PrGeHO4. It was derived from a PBE-relaxed structure, using a wavelength of 1.5418 Å.
No peak broadening, texture or thermal motion is included.

Main lines, in order of falling intensity (10° ≤ 2θ ≤ 90°):
Position (°2θ), I (rel.)
25.80, 100
33.38, 84
59.76, 33
29.61, 30
45.45, 27
33.69, 24

Structural model:
a b c (Å): 5.3208 12.0694 4.8981
angles (deg): 90.00 90.00 90.00
Positions (direct):
Pr 0.0000 0.1206 0.2500
Pr 0.0000 0.8794 0.7500
Pr 0.5000 0.3794 0.7500
Pr 0.5000 0.6206 0.2500
Ge 0.0000 0.3920 0.2500
Ge 0.0000 0.6080 0.7500
Ge 0.5000 0.1080 0.7500
Ge 0.5000 0.8920 0.2500
H 0.0000 0.3021 0.7500
H 0.0000 0.6979 0.2500
H 0.5000 0.1979 0.2500
H 0.5000 0.8021 0.7500
O 0.1060 0.2998 0.5243
O 0.1060 0.7002 0.0243
O 0.2399 0.0430 0.6089
O 0.2399 0.9570 0.1089
O 0.2601 0.4570 0.1089
O 0.2601 0.5430 0.6089
O 0.3940 0.2002 0.0243
O 0.3940 0.7998 0.5243
O 0.6060 0.2002 0.4757
O 0.6060 0.7998 0.9757
O 0.7399 0.4570 0.3911
O 0.7399 0.5430 0.8911
O 0.7601 0.0430 0.8911
O 0.7601 0.9570 0.3911
O 0.8940 0.2998 0.9757
O 0.8940 0.7002 0.4757